Structure and simulated PXRD pattern of LaMn3Cr4O12 (DFT lattice parameters and positions (GGA+U); Cu Kα).

Structural model:
Unit cell a=7.530 b=7.530 c=7.530 alpha=90.00 beta=90.00 gamma=90.00
Space group Im-3 (No. 204)
One atom of each set of equivalent atoms:
1 La 0.000 0.000 0.000 (multiplicity 2)
2 Mn 0.000 0.000 0.500 (multiplicity 6)
3 Cr 0.250 0.250 0.250 (multiplicity 8)
4 O 0.000 0.308 0.176 (multiplicity 24)

Largest 6 diffraction maxima, in order of rising 2θ, 10° ≤ 2θ ≤ 90°:
Position (°2θ), Rel. int.
16.65, 14
33.66, 100
37.78, 13
48.35, 26
60.20, 48
80.70, 16

=====

Structure and simulated PXRD pattern of LaMnCrO6 (DFT lattice parameters and positions (GGA+U); Cu Kα).

Structural model:
Unit cell a=4.504 b=5.440 c=5.696 alpha=70.77 beta=78.98 gamma=68.38
Space group P-1 (No. 2)
One atom of each set of equivalent atoms:
1 La 0.000 0.000 0.000 (multiplicity 1)
2 Mn 0.500 0.000 0.500 (multiplicity 1)
3 Cr 0.500 0.500 0.500 (multiplicity 1)
4 O 0.114 0.511 0.394 (multiplicity 2)
5 O 0.274 0.757 0.704 (multiplicity 2)
6 O 0.493 0.159 0.758 (multiplicity 2)

Largest 6 diffraction maxima, in order of rising 2θ, 10° ≤ 2θ ≤ 90°:
Position (°2θ), Rel. int.
18.29, 57
20.92, 71
24.08, 39
25.99, 100
28.11, 93
42.59, 39

=====

Structure and simulated PXRD pattern of Sr3LaMnCrO8 (DFT lattice parameters and positions (GGA+U); Cu Kα).

Structural model:
Unit cell a=5.495 b=5.510 c=12.542 alpha=90.00 beta=90.00 gamma=90.00
Space group Amm2 (No. 38)
One atom of each set of equivalent atoms:
1 Sr 0.000 0.000 0.000 (multiplicity 2)
2 Sr 0.000 0.000 0.286 (multiplicity 2)
3 Sr 0.500 0.000 0.497 (multiplicity 2)
4 La 0.500 0.000 0.783 (multiplicity 2)
5 Mn 0.000 0.000 0.640 (multiplicity 2)
6 Cr 0.500 0.000 0.139 (multiplicity 2)
7 O 0.000 0.000 0.486 (multiplicity 2)
8 O 0.000 0.000 0.802 (multiplicity 2)
9 O 0.249 0.241 0.645 (multiplicity 8)
10 O 0.500 0.000 0.303 (multiplicity 2)
11 O 0.500 0.000 0.972 (multiplicity 2)

Largest 6 diffraction maxima, in order of rising 2θ, 10° ≤ 2θ ≤ 90°:
Position (°2θ), Rel. int.
31.41, 100
32.54, 73
43.77, 30
46.69, 40
57.30, 18
57.41, 18

=====

Structure and simulated PXRD pattern of Sr3LaCr2Mo2O12 (DFT lattice parameters and positions (GGA+U); Cu Kα).

Structural model:
Unit cell a=5.682 b=5.586 c=8.049 alpha=90.00 beta=90.24 gamma=90.00
Space group Pm (No. 6)
One atom of each set of equivalent atoms:
1 Sr 0.000 0.000 0.000 (multiplicity 1)
2 Sr 0.011 0.000 0.495 (multiplicity 1)
3 Sr 0.513 0.500 0.001 (multiplicity 1)
4 La 0.505 0.500 0.492 (multiplicity 1)
5 Cr 0.008 0.500 0.749 (multiplicity 1)
6 Cr 0.508 0.000 0.248 (multiplicity 1)
7 Mo 0.006 0.500 0.246 (multiplicity 1)
8 Mo 0.509 0.000 0.749 (multiplicity 1)
9 O 0.080 0.500 0.990 (multiplicity 1)
10 O 0.264 0.251 0.705 (multiplicity 2)
11 O 0.266 0.253 0.293 (multiplicity 2)
12 O 0.442 0.000 0.995 (multiplicity 1)
13 O 0.572 0.000 0.499 (multiplicity 1)
14 O 0.755 0.246 0.780 (multiplicity 2)
15 O 0.757 0.247 0.213 (multiplicity 2)
16 O 0.921 0.500 0.505 (multiplicity 1)

Largest 6 diffraction maxima, in order of rising 2θ, 10° ≤ 2θ ≤ 90°:
Position (°2θ), Rel. int.
31.53, 100
31.65, 68
32.05, 32
45.54, 44
56.07, 22
56.84, 25